No. 1
Theoretical powder X-ray diffraction pattern
Compound: NdTcHg2O6
Radiation: a wavelength of 1.5418 Å
Structure: a cell relaxed with PBE
No peak broadening, texture or thermal motion is included.

Cell and atoms:
abc: 5.8111 5.8111 14.8261
angles: 90.00 90.00 120.00
Space group R-3 (No. 148, hexagonal axes)
Symmetry-distinct sites (fractional):
Nd 0.0000 0.0000 0.0000 x3
Tc 0.0000 0.0000 0.5000 x3
Hg 0.0000 0.0000 0.2442 x6
O 0.0391 0.6217 0.2418 x18

Most intense lines, 10° ≤ 2θ ≤ 90°, low angle first:
(hkl)	2theta	d/Å	Rel. int.
1 0 4	29.94	2.984	100
1 1 0	30.77	2.906	87
0 2 4	43.47	2.082	44
0 1 8	52.63	1.739	20
2 1 4	54.20	1.692	40
3 0 0	54.72	1.678	22
3 -2 8	71.01	1.327	18
4 -3 4	72.34	1.306	16


No. 2
Theoretical powder X-ray diffraction pattern
Compound: Ir2OsF
Radiation: a wavelength of 1.5418 Å
Structure: a cell relaxed with PBE
No peak broadening, texture or thermal motion is included.

Cell and atoms:
abc: 6.5305 6.5305 5.6429
angles: 90.00 90.00 90.00
Space group I-42d (No. 122)
Symmetry-distinct sites (fractional):
Ir 0.2457 0.7500 0.1250 x8
Os 0.0000 0.0000 0.5000 x4
F 0.0000 0.0000 0.0000 x4

Most intense lines, 10° ≤ 2θ ≤ 90°, low angle first:
(hkl)	2theta	d/Å	Rel. int.
1 0 1	20.80	4.270	29
2 1 1	34.58	2.594	20
1 1 2	37.35	2.408	100
2 2 0	39.01	2.309	82
3 1 2	55.11	1.666	66
4 0 0	56.35	1.633	28
2 0 4	73.07	1.295	26
5 1 2	82.76	1.166	21


No. 3
Theoretical powder X-ray diffraction pattern
Compound: Nd2TlGa3Pd4
Radiation: a wavelength of 1.5418 Å
Structure: a cell relaxed with PBE
No peak broadening, texture or thermal motion is included.

Cell and atoms:
abc: 4.1735 4.1735 11.6812
angles: 90.00 90.00 90.00
Space group P-4m2 (No. 115)
Symmetry-distinct sites (fractional):
Nd 0.0000 0.5000 0.2420 x2
Tl 0.0000 0.0000 0.5000 x1
Ga 0.0000 0.5000 0.8743 x2
Ga 0.5000 0.5000 0.5000 x1
Pd 0.0000 0.0000 0.0000 x1
Pd 0.0000 0.5000 0.6604 x2
Pd 0.5000 0.5000 0.0000 x1

Most intense lines, 10° ≤ 2θ ≤ 90°, low angle first:
(hkl)	2theta	d/Å	Rel. int.
1 0 3	31.42	2.847	30
1 1 2	34.04	2.634	100
2 0 0	43.36	2.087	44
1 1 4	43.60	2.076	16
1 0 5	44.44	2.039	23
2 2 0	62.99	1.476	14
0 0 8	63.81	1.459	19
3 1 2	73.58	1.287	21


No. 4
Theoretical powder X-ray diffraction pattern
Compound: Sc6CO
Radiation: a wavelength of 1.5418 Å
Structure: a cell relaxed with PBE
No peak broadening, texture or thermal motion is included.

Cell and atoms:
abc: 5.4345 5.4345 9.9813
angles: 90.00 90.00 90.00
Space group P4_2/m (No. 84)
Symmetry-distinct sites (fractional):
Sc 0.2098 0.7647 0.0000 x4
Sc 0.2500 0.7282 0.3434 x8
C 0.0000 0.0000 0.2500 x2
O 0.5000 0.5000 0.0000 x2

Most intense lines, 10° ≤ 2θ ≤ 90°, low angle first:
(hkl)	2theta	d/Å	Rel. int.
2 0 0	32.96	2.717	50
1 1 3	35.70	2.515	100
2 2 0	47.31	1.921	23
0 0 6	55.22	1.664	6
1 3 3	60.65	1.527	32
2 0 6	65.83	1.419	12
4 0 0	69.14	1.359	6
2 2 6	75.61	1.258	8


No. 5
Theoretical powder X-ray diffraction pattern
Compound: Nd6TeRh2Se3
Radiation: a wavelength of 1.5418 Å
Structure: a cell relaxed with PBE
No peak broadening, texture or thermal motion is included.

Cell and atoms:
abc: 18.7692 4.1723 8.8245
angles: 90.00 105.43 90.00
Space group C2/m (No. 12)
Symmetry-distinct sites (fractional):
Nd 0.0112 0.0000 0.2711 x4
Nd 0.1731 0.5000 0.5767 x4
Nd 0.1761 0.5000 0.1147 x4
Te 0.0000 0.5000 0.0000 x2
Rh 0.1700 0.0000 0.3399 x4
Se 0.0000 0.5000 0.5000 x2
Se 0.1589 0.0000 0.8407 x4

Most intense lines, 10° ≤ 2θ ≤ 90°, low angle first:
(hkl)	2theta	d/Å	Rel. int.
1 1 -2	29.47	3.031	100
6 0 0	29.63	3.015	46
2 0 -4	40.93	2.205	19
7 1 -2	41.79	2.162	38
5 1 2	42.77	2.114	31
0 2 0	43.37	2.086	18
6 2 0	53.41	1.716	18
2 2 -4	61.16	1.515	11


No. 6
Theoretical powder X-ray diffraction pattern
Compound: Mg3Se
Radiation: a wavelength of 1.5418 Å
Structure: a cell relaxed with PBE
No peak broadening, texture or thermal motion is included.

Cell and atoms:
abc: 3.4818 3.4818 7.3156
angles: 90.00 90.00 90.00
Space group P4/mmm (No. 123)
Symmetry-distinct sites (fractional):
Mg 0.0000 0.0000 0.0000 x1
Mg 0.5000 0.5000 0.2856 x2
Se 0.0000 0.0000 0.5000 x1

Most intense lines, 10° ≤ 2θ ≤ 90°, low angle first:
(hkl)	2theta	d/Å	Rel. int.
0 0 1	12.10	7.316	63
1 0 0	25.58	3.482	15
1 0 2	35.60	2.522	100
1 1 0	36.50	2.462	50
1 1 1	38.58	2.333	15
1 0 3	45.41	1.997	16
2 0 0	52.57	1.741	17
2 1 2	65.11	1.433	33


Please write out number 3 again, unchanged.
Theoretical powder X-ray diffraction pattern
Compound: Nd2TlGa3Pd4
Radiation: a wavelength of 1.5418 Å
Structure: a cell relaxed with PBE
No peak broadening, texture or thermal motion is included.

Cell and atoms:
abc: 4.1735 4.1735 11.6812
angles: 90.00 90.00 90.00
Space group P-4m2 (No. 115)
Symmetry-distinct sites (fractional):
Nd 0.0000 0.5000 0.2420 x2
Tl 0.0000 0.0000 0.5000 x1
Ga 0.0000 0.5000 0.8743 x2
Ga 0.5000 0.5000 0.5000 x1
Pd 0.0000 0.0000 0.0000 x1
Pd 0.0000 0.5000 0.6604 x2
Pd 0.5000 0.5000 0.0000 x1

Most intense lines, 10° ≤ 2θ ≤ 90°, low angle first:
(hkl)	2theta	d/Å	Rel. int.
1 0 3	31.42	2.847	30
1 1 2	34.04	2.634	100
2 0 0	43.36	2.087	44
1 1 4	43.60	2.076	16
1 0 5	44.44	2.039	23
2 2 0	62.99	1.476	14
0 0 8	63.81	1.459	19
3 1 2	73.58	1.287	21


Number 1 is which compound? NdTcHg2O6